Theoretical X-ray diffraction stick pattern
Compound: ErPaGa4
Radiation: Cu Kα X-rays
Structure: the GGA-PBE geometry in Alexandria
Peak positions follow from Bragg's law for the DFT cell and can differ from measured ones.

Atomic structure:
a = 4.133 Å, b = 4.133 Å, c = 14.552 Å
α = 90.00°, β = 90.00°, γ = 90.00°
Fractional coordinates of all 12 atoms:
Er  0.000  0.000  0.000
Er  0.500  0.500  0.500
Pa  0.000  0.500  0.750
Pa  0.500  0.000  0.250
Ga  0.000  0.000  0.417
Ga  0.000  0.000  0.583
Ga  0.000  0.500  0.167
Ga  0.000  0.500  0.333
Ga  0.500  0.000  0.667
Ga  0.500  0.000  0.833
Ga  0.500  0.500  0.083
Ga  0.500  0.500  0.917

Most intense lines, 2θ = 5–70°, by angle:
- (1 0 3), 28.4°, 3.146 Å, I 39
- (1 1 2), 33.0°, 2.712 Å, I 100
- (1 0 5), 37.8°, 2.380 Å, I 50
- (2 0 0), 43.8°, 2.067 Å, I 37
- (1 0 7), 49.1°, 1.857 Å, I 24
- (2 1 3), 53.0°, 1.727 Å, I 14
- (2 1 5), 59.2°, 1.560 Å, I 27
- (2 1 7), 67.9°, 1.381 Å, I 18